Theoretical X-ray diffraction stick pattern of Sr4MgMn2Cl2O6 for CuKα, from a DFT-relaxed cell (PBE+U, the Materials Project).

Cell and atoms:
```
data_Sr4MgMn2Cl2O6
_symmetry_space_group_name_H-M 'P -4 m 2'
_symmetry_Int_Tables_number 115
_symmetry_space_group_name_Hall 'P -4 -2'
_cell_length_a 4.043
_cell_length_b 4.043
_cell_length_c 17.463
_cell_angle_alpha 90.00
_cell_angle_beta 90.00
_cell_angle_gamma 90.00
loop_
_atom_site_label
_atom_site_type_symbol
_atom_site_fract_x
_atom_site_fract_y
_atom_site_fract_z
Sr1 Sr 0.000 0.500 0.075
Sr2 Sr 0.000 0.500 0.279
Mg1 Mg 0.500 0.500 0.500
Mn1 Mn 0.000 0.500 0.821
Cl1 Cl 0.000 0.500 0.592
O1 O 0.000 0.000 0.205
O2 O 0.000 0.500 0.939
O3 O 0.500 0.500 0.205
```

Principal peaks in the range 15° ≤ 2θ ≤ 90°, by angle:
| Position (°2θ) | I/Imax | (hkl) |
| --- | --- | --- |
| 22.57 | 11 | 1 0 1 |
| 30.13 | 100 | 1 0 4 |
| 31.29 | 59 | 1 1 0 |
| 31.71 | 11 | 1 1 1 |
| 33.92 | 27 | 1 0 5 |
| 38.10 | 12 | 1 0 6 |
| 44.42 | 14 | 1 1 6 |
| 44.83 | 40 | 2 0 0 |
| 54.96 | 35 | 2 1 4 |
| 57.41 | 32 | 1 1 9 |
| 65.27 | 12 | 2 2 0 |
| 74.16 | 9 | 3 1 0 |